# Ag2IrCl
Calculated X-ray diffraction stick pattern, a wavelength of 1.5418 Å. Input: a cell relaxed with GGA-PBE.
Kinematic intensities with the Lorentz-polarization factor, no thermal factor.

Crystal structure
abc: 13.213 2.892 4.663
angles: 90.00 98.20 90.00
Space group Cm (No. 8)
Unique sites:
1 Ag 0.000 0.000 0.000 [2 per cell]
2 Ag 0.132 0.000 0.552 [2 per cell]
3 Ir 0.180 0.500 0.069 [2 per cell]
4 Cl 0.327 0.000 0.145 [2 per cell]

Peak list (10 most intense, 15° ≤ 2θ ≤ 90°, low angle first)
hkl	Position (°2θ)	intensity
0 0 1	19.23	92
4 0 0	27.28	27
3 1 0	37.31	54
1 1 1	37.86	61
0 0 2	39.03	54
2 0 -2	39.52	42
3 1 -1	40.85	100
6 0 0	41.43	34
6 0 -1	43.32	33
3 1 1	43.72	80